Calculated powder X-ray diffraction pattern of TlCuTe2O8 for a wavelength of 1.5418 Å, from a cell relaxed with PBE.
Intensities are scaled so that the largest is 100.

Cell and atoms:
```
data_TlCuTe2O8
_symmetry_space_group_name_H-M 'P 1'
_symmetry_Int_Tables_number 1
_symmetry_space_group_name_Hall 'P 1'
_cell_length_a 4.999
_cell_length_b 6.405
_cell_length_c 5.002
_cell_angle_alpha 90.00
_cell_angle_beta 96.62
_cell_angle_gamma 90.00
loop_
_atom_site_label
_atom_site_type_symbol
_atom_site_fract_x
_atom_site_fract_y
_atom_site_fract_z
_atom_site_occupancy
Tl1 Tl 0.000 0.000 0.000 1
Cu1 Cu 0.000 0.500 0.000 1
Te1 Te 0.500 0.258 0.500 1
Te2 Te 0.500 0.742 0.500 1
O1 O 0.206 0.269 0.205 1
O2 O 0.206 0.731 0.205 1
O3 O 0.323 0.500 0.675 1
O4 O 0.329 0.000 0.669 1
O5 O 0.671 0.000 0.331 1
O6 O 0.677 0.500 0.325 1
O7 O 0.794 0.269 0.795 1
O8 O 0.794 0.731 0.795 1
```

Main lines, sorted by position (15 to 90 degrees two-theta):
| index | 2theta | I_rel |
| --- | --- | --- |
| 1 1 0 | 22.65 | 23 |
| 1 0 -1 | 23.83 | 82 |
| 1 0 1 | 26.80 | 56 |
| 1 2 0 | 33.29 | 100 |
| 0 0 2 | 36.17 | 33 |
| 2 2 -1 | 48.29 | 51 |
| 2 0 -2 | 48.77 | 12 |
| 2 2 1 | 51.61 | 37 |
| 0 4 0 | 57.55 | 11 |
| 0 2 3 | 63.21 | 36 |
| 3 2 -2 | 71.07 | 11 |
| 4 2 1 | 88.80 | 15 |